# 1
The following is a simulated powder diffraction line list of SrHo2O4. It was derived from DFT lattice parameters and positions (GGA-PBE), using Cu Kα.
Lines closer than 0.1° are merged.

Largest 6 diffraction maxima, in order of rising 2θ, 2θ from 10° to 80°:
Position (°2θ)	I_rel	(hkl)
29.90	48.9	0 0 4
30.44	100.0	3 0 2
31.45	88.9	1 1 2
31.62	41.8	2 1 0
44.07	42.0	2 1 4
62.99	26.1	3 2 2

abc: 10.1153 3.4138 11.9533
angles: 90.00 90.00 90.00
Element x y z (fractional)
Sr 0.2474 0.2500 0.1492
Sr 0.2526 0.7500 0.6492
Sr 0.7474 0.2500 0.3508
Sr 0.7526 0.7500 0.8508
Ho 0.0770 0.2500 0.3879
Ho 0.0767 0.2500 0.8894
Ho 0.4233 0.7500 0.3894
Ho 0.4230 0.7500 0.8879
Ho 0.5770 0.2500 0.1121
Ho 0.5767 0.2500 0.6106
Ho 0.9233 0.7500 0.1106
Ho 0.9230 0.7500 0.6121
O 0.0144 0.7500 0.7838
O 0.0740 0.2500 0.5772
O 0.1249 0.7500 0.0195
O 0.2117 0.7500 0.3259
O 0.2883 0.2500 0.8259
O 0.3751 0.2500 0.5195
O 0.4260 0.7500 0.0772
O 0.4856 0.2500 0.2838
O 0.5144 0.7500 0.7162
O 0.5740 0.2500 0.9228
O 0.6249 0.7500 0.4805
O 0.7117 0.7500 0.1741
O 0.7883 0.2500 0.6741
O 0.8751 0.2500 0.9805
O 0.9260 0.7500 0.4228
O 0.9856 0.2500 0.2162

# 2
The following is a simulated powder diffraction line list of Er2Ti3Si4. It was derived from DFT lattice parameters and positions (GGA-PBE), using Cu Kα.
Lines closer than 0.1° are merged.

Largest 6 diffraction maxima, in order of rising 2θ, 2θ from 10° to 80°:
Position (°2θ)	I_rel	(hkl)
19.15	42.5	1 1 1
31.69	42.3	2 1 2
35.39	100.0	2 1 3
36.87	67.5	2 2 1
39.36	62.8	1 1 5
41.02	85.7	3 0 2

abc: 7.0220 7.0220 12.8997
angles: 90.00 90.00 90.00
Element x y z (fractional)
Er 0.0022 0.3413 0.0335
Er 0.1587 0.5022 0.2835
Er 0.3413 0.0022 0.9665
Er 0.4978 0.8413 0.2165
Er 0.5022 0.1587 0.7165
Er 0.6587 0.9978 0.4665
Er 0.8413 0.4978 0.7835
Er 0.9978 0.6587 0.5335
Ti 0.0076 0.1514 0.6243
Ti 0.1514 0.0076 0.3757
Ti 0.1729 0.8271 0.7500
Ti 0.3271 0.3271 0.5000
Ti 0.3486 0.5076 0.8743
Ti 0.4924 0.6514 0.6257
Ti 0.5076 0.3486 0.1257
Ti 0.6514 0.4924 0.3743
Ti 0.6729 0.6729 0.0000
Ti 0.8271 0.1729 0.2500
Ti 0.8486 0.9924 0.8757
Ti 0.9924 0.8486 0.1243
Si 0.0469 0.7091 0.9354
Si 0.1319 0.2032 0.8164
Si 0.2032 0.1319 0.1836
Si 0.2091 0.4531 0.6854
Si 0.2909 0.9531 0.5646
Si 0.2968 0.6319 0.0664
Si 0.3681 0.7032 0.4336
Si 0.4531 0.2091 0.3146
Si 0.5469 0.7909 0.8146
Si 0.6319 0.2968 0.9336
Si 0.7032 0.3681 0.5664
Si 0.7091 0.0469 0.0646
Si 0.7909 0.5469 0.1854
Si 0.7968 0.8681 0.6836
Si 0.8681 0.7968 0.3164
Si 0.9531 0.2909 0.4354

# 3
The following is a simulated powder diffraction line list of Ho2Ti12Cu9O36. It was derived from DFT lattice parameters and positions (GGA-PBE), using Cu Kα.
Lines closer than 0.1° are merged.

Largest 6 diffraction maxima, in order of rising 2θ, 2θ from 10° to 80°:
Position (°2θ)	I_rel	(hkl)
34.12	100.0	0 2 2
38.29	9.0	3 -1 2
42.12	9.6	0 4 1
49.02	27.5	4 0 2
61.06	36.4	2 0 4
61.13	11.9	6 0 0

abc: 10.5040 10.5040 6.4460
angles: 90.00 90.00 120.00
Element x y z (fractional)
Ho 0.3333 0.6667 0.3288
Ho 0.6667 0.3333 0.6712
Ti 0.0000 0.0000 0.5000
Ti 0.0000 0.5000 0.5000
Ti 0.1584 0.8390 0.1631
Ti 0.1610 0.3194 0.1631
Ti 0.3194 0.1584 0.8369
Ti 0.3333 0.6667 0.8404
Ti 0.5000 0.0000 0.5000
Ti 0.5000 0.5000 0.5000
Ti 0.6667 0.3333 0.1596
Ti 0.6806 0.8416 0.1631
Ti 0.8390 0.6806 0.8369
Ti 0.8416 0.1610 0.8369
Cu 0.0000 0.5000 0.0000
Cu 0.1685 0.3366 0.6615
Cu 0.1681 0.8315 0.6615
Cu 0.3366 0.1681 0.3385
Cu 0.5000 0.0000 0.0000
Cu 0.5000 0.5000 0.0000
Cu 0.6634 0.8319 0.6615
Cu 0.8319 0.1685 0.3385
Cu 0.8315 0.6634 0.3385
O 0.0167 0.8519 0.3301
O 0.0444 0.7749 0.9112
O 0.0767 0.6255 0.2504
O 0.1184 0.4113 0.4133
O 0.1481 0.1648 0.3301
O 0.1648 0.0167 0.6699
O 0.1766 0.6496 0.6462
O 0.1929 0.5098 0.0180
O 0.2251 0.2695 0.9112
O 0.2695 0.0444 0.0888
O 0.2929 0.8816 0.4133
O 0.3169 0.8071 0.0180
O 0.3504 0.5270 0.6462
O 0.3745 0.4512 0.2504
O 0.4113 0.2929 0.5867
O 0.4512 0.0767 0.7496
O 0.4730 0.8234 0.6462
O 0.4902 0.6831 0.0180
O 0.5098 0.3169 0.9820
O 0.5270 0.1766 0.3538
O 0.5488 0.9233 0.2504
O 0.5887 0.7071 0.4133
O 0.6255 0.5488 0.7496
O 0.6496 0.4730 0.3538
O 0.6831 0.1929 0.9820
O 0.7071 0.1184 0.5867
O 0.7305 0.9556 0.9112
O 0.7749 0.7305 0.0888
O 0.8071 0.4902 0.9820
O 0.8234 0.3504 0.3538
O 0.8352 0.9833 0.3301
O 0.8519 0.8352 0.6699
O 0.8816 0.5887 0.5867
O 0.9233 0.3745 0.7496
O 0.9556 0.2251 0.0888
O 0.9833 0.1481 0.6699

# 4
The following is a simulated powder diffraction line list of LaCrGe3. It was derived from DFT lattice parameters and positions (GGA-PBE), using Cu Kα.
Lines closer than 0.1° are merged.

Largest 6 diffraction maxima, in order of rising 2θ, 2θ from 10° to 80°:
Position (°2θ)	I_rel	(hkl)
28.72	19.4	1 1 0
30.96	29.2	0 0 2
35.26	19.9	1 0 2
36.84	100.0	2 0 1
46.09	30.7	2 0 2
58.98	25.0	2 0 3

abc: 6.2170 6.2170 5.7763
angles: 90.00 90.00 120.00
Element x y z (fractional)
La 0.3333 0.6667 0.2500
La 0.6667 0.3333 0.7500
Cr 0.0000 0.0000 0.0000
Cr 0.0000 0.0000 0.5000
Ge 0.1913 0.3827 0.7500
Ge 0.1913 0.8087 0.7500
Ge 0.3827 0.1913 0.2500
Ge 0.6173 0.8087 0.7500
Ge 0.8087 0.1913 0.2500
Ge 0.8087 0.6173 0.2500

# 5
The following is a simulated powder diffraction line list of RbI. It was derived from DFT lattice parameters and positions (GGA-PBE), using Cu Kα.
Lines closer than 0.1° are merged.

Largest 6 diffraction maxima, in order of rising 2θ, 2θ from 10° to 80°:
Position (°2θ)	I_rel	(hkl)
28.12	100.0	1 1 0
40.19	18.8	2 0 0
49.77	40.1	2 1 1
58.14	12.5	2 2 0
65.81	17.2	3 1 0
80.00	20.1	3 2 1

abc: 4.4875 4.4875 4.4875
angles: 90.00 90.00 90.00
Element x y z (fractional)
Rb 0.0000 0.0000 0.0000
I 0.5000 0.5000 0.5000